No. 1
Structure and computed powder diffraction line list of Fe3Ni (a structure optimized by DFT (PBE); CuKα).

Main lines, low angle first (2θ = 10–80°):
2θ 44.9, I = 100, hkl 2 2 0
2θ 65.4, I = 15, hkl 4 0 0

Structural model:
abc: 5.7054 5.7054 5.7054
angles: 90.00 90.00 90.00
Space group Fm-3m (No. 225)
Asymmetric unit:
Fe1 0.0000 0.0000 0.0000 [4 per cell]
Fe2 0.2500 0.2500 0.2500 [8 per cell]
Ni1 0.0000 0.0000 0.5000 [4 per cell]

***

No. 2
Structure and computed powder diffraction line list of Fe2Ni (a structure optimized by DFT (PBE); CuKα).

Main lines, low angle first (2θ = 10–80°):
2θ 23.6, I = 3, hkl 1 1 1
2θ 39.0, I = 32, hkl 2 2 0
2θ 46.1, I = 100, hkl 3 1 1
2θ 48.3, I = 36, hkl 2 2 2
2θ 56.4, I = 3, hkl 4 0 0
2θ 62.0, I = 1, hkl 3 3 1
2θ 70.7, I = 10, hkl 4 2 2
2θ 75.7, I = 27, hkl 5 1 1

Structural model:
abc: 6.5283 6.5283 6.5283
angles: 90.00 90.00 90.00
Space group Fd-3m (No. 227, origin choice 2)
Asymmetric unit:
Fe1 0.0000 0.0000 0.0000 [16 per cell]
Ni1 0.1250 0.1250 0.6250 [8 per cell]

***

No. 3
Structure and computed powder diffraction line list of Fe3Ni (a structure optimized by DFT (PBE); CuKα).

Main lines, low angle first (2θ = 10–80°):
2θ 43.7, I = 100, hkl 1 1 1
2θ 51.0, I = 46, hkl 2 0 0
2θ 74.9, I = 26, hkl 2 2 0

Structural model:
abc: 3.5846 3.5846 3.5846
angles: 90.00 90.00 90.00
Space group Pm-3m (No. 221)
Asymmetric unit:
Fe1 0.0000 0.0000 0.5000 [3 per cell]
Ni1 0.5000 0.5000 0.5000 [1 per cell]

***

No. 4
Structure and computed powder diffraction line list of Fe2Ni (a structure optimized by DFT (PBE); CuKα).

Main lines, low angle first (2θ = 10–80°):
2θ 14.1, I = 1, hkl 0 0 1
2θ 43.3, I = 35, hkl 0 0 3
2θ 44.0, I = 100, hkl 1 0 1
2θ 51.0, I = 63, hkl 0 1 2
2θ 74.6, I = 18, hkl 1 0 4
2θ 75.5, I = 18, hkl 1 1 0

Structural model:
abc: 2.5177 2.5177 6.2666
angles: 90.00 90.00 120.00
Space group P-3m1 (No. 164)
Asymmetric unit:
Fe1 0.3333 0.6667 0.1715 [2 per cell]
Ni1 0.0000 0.0000 0.5000 [1 per cell]

***

No. 5
Structure and computed powder diffraction line list of Fe3Ni2 (a structure optimized by DFT (PBE); CuKα).

Main lines, low angle first (2θ = 10–80°):
2θ 43.9, I = 100, hkl 1 0 5
2θ 50.2, I = 16, hkl 0 0 10
2θ 51.7, I = 30, hkl 1 1 0
2θ 74.9, I = 18, hkl 1 1 10
2θ 76.1, I = 9, hkl 2 0 0

Structural model:
abc: 2.5018 2.5018 18.1768
angles: 90.00 90.00 90.00
Space group P4/mmm (No. 123)
Asymmetric unit:
Fe1 0.0000 0.0000 0.0000 [1 per cell]
Fe2 0.0000 0.0000 0.1987 [2 per cell]
Fe3 0.0000 0.0000 0.3956 [2 per cell]
Fe4 0.5000 0.5000 0.5000 [1 per cell]
Ni1 0.5000 0.5000 0.0998 [2 per cell]
Ni2 0.5000 0.5000 0.2971 [2 per cell]

***

No. 6
Structure and computed powder diffraction line list of Fe3Ni (a structure optimized by DFT (PBE); CuKα).

Main lines, low angle first (2θ = 10–80°):
2θ 44.9, I = 100, hkl 1 1 2
2θ 45.5, I = 24, hkl 0 0 4
2θ 45.7, I = 24, hkl 0 2 0
2θ 64.1, I = 8, hkl 2 0 0
2θ 66.4, I = 14, hkl 0 2 4

Structural model:
abc: 2.9040 3.9689 7.9808
angles: 90.00 90.00 90.00
Space group Cmmm (No. 65)
Asymmetric unit:
Fe1 0.0000 0.0000 0.0000 [2 per cell]
Fe2 0.0000 0.5000 0.2510 [4 per cell]
Ni1 0.0000 0.0000 0.5000 [2 per cell]

***

No. 7
Structure and computed powder diffraction line list of Fe3Ni (a structure optimized by DFT (PBE); CuKα).

Main lines, low angle first (2θ = 10–80°):
2θ 10.7, I = 1, hkl 0 0 3
2θ 43.7, I = 35, hkl 0 0 12
2θ 44.2, I = 100, hkl 1 0 4
2θ 51.4, I = 62, hkl 0 1 8
2θ 75.2, I = 18, hkl 1 0 16
2θ 76.0, I = 17, hkl 1 1 0

Structural model:
abc: 2.5034 2.5034 24.8747
angles: 90.00 90.00 120.00
Space group R-3m (No. 166, hexagonal axes)
Asymmetric unit:
Fe1 0.0000 0.0000 0.0000 [3 per cell]
Fe2 0.0000 0.0000 0.2499 [6 per cell]
Ni1 0.0000 0.0000 0.5000 [3 per cell]

***

No. 8
Structure and computed powder diffraction line list of Fe3Ni (a structure optimized by DFT (PBE); CuKα).

Main lines, low angle first (2θ = 10–80°):
2θ 43.7, I = 100, hkl 1 1 2
2θ 48.8, I = 18, hkl 0 0 4
2θ 51.8, I = 29, hkl 2 0 0
2θ 74.0, I = 18, hkl 2 0 4
2θ 76.4, I = 8, hkl 2 2 0

Structural model:
abc: 3.5274 3.5274 7.4612
angles: 90.00 90.00 90.00
Space group I4/mmm (No. 139)
Asymmetric unit:
Fe1 0.0000 0.0000 0.0000 [2 per cell]
Fe2 0.0000 0.5000 0.2500 [4 per cell]
Ni1 0.0000 0.0000 0.5000 [2 per cell]

***

No. 9
Structure and computed powder diffraction line list of Fe3Ni3P2 (a structure optimized by DFT (PBE); CuKα).

Main lines, low angle first (2θ = 10–80°):
2θ 36.3, I = 22, hkl 3 1 -3
2θ 41.7, I = 100, hkl 1 1 2
2θ 43.6, I = 54, hkl 0 2 1
2θ 45.1, I = 19, hkl 2 0 2
2θ 45.3, I = 17, hkl 6 0 -4
2θ 46.0, I = 14, hkl 2 2 -2
2θ 46.6, I = 85, hkl 5 1 -1
2θ 50.5, I = 21, hkl 4 2 -2
2θ 52.0, I = 22, hkl 4 0 -5
2θ 52.7, I = 31, hkl 2 2 1

Structural model:
abc: 12.6724 4.3978 8.9628
angles: 90.00 134.88 90.00
Space group C2 (No. 5)
Asymmetric unit:
Fe1 0.0330 0.0000 0.1701 [4 per cell]
Fe2 0.0756 0.2064 0.6834 [4 per cell]
Fe3 0.1061 0.7463 0.5282 [4 per cell]
Ni1 0.1367 0.4566 0.1058 [4 per cell]
Ni2 0.1701 0.7253 0.8899 [4 per cell]
Ni3 0.2201 0.2294 0.5505 [4 per cell]
P1 0.0468 0.4937 0.2570 [4 per cell]
P2 0.2087 0.9606 0.1604 [4 per cell]

***

No. 10
Structure and computed powder diffraction line list of Fe4Ni5P3 (a structure optimized by DFT (PBE); CuKα).

Main lines, low angle first (2θ = 10–80°):
2θ 41.7, I = 100, hkl 1 0 8
2θ 41.9, I = 34, hkl 1 3 2
2θ 42.9, I = 36, hkl 0 3 0
2θ 43.5, I = 55, hkl 2 1 4
2θ 45.3, I = 25, hkl 0 1 -9
2θ 45.4, I = 23, hkl 0 3 3
2θ 46.6, I = 70, hkl 1 -2 5
2θ 46.7, I = 55, hkl 1 3 -4
2θ 52.1, I = 31, hkl 0 2 9
2θ 52.6, I = 32, hkl 2 2 -5

Structural model:
abc: 4.4060 6.6882 19.1345
angles: 87.90 83.45 70.97
Space group P1 (No. 1)
Asymmetric unit:
Fe1 0.0000 0.0000 0.0000 [1 per cell]
Fe2 0.9995 0.2118 0.7186 [1 per cell]
Fe3 0.1724 0.8439 0.7374 [1 per cell]
Fe4 0.2443 0.0603 0.4555 [1 per cell]
Fe5 0.2483 0.4219 0.5034 [1 per cell]
Fe6 0.3330 0.2120 0.0516 [1 per cell]
Fe7 0.3374 0.9958 0.3329 [1 per cell]
Fe8 0.5041 0.8437 0.0708 [1 per cell]
Fe9 0.5781 0.0601 0.7890 [1 per cell]
Fe10 0.5815 0.4219 0.8366 [1 per cell]
Fe11 0.6640 0.2126 0.3851 [1 per cell]
Fe12 0.6662 0.9995 0.6667 [1 per cell]
Fe13 0.7504 0.6322 0.2843 [1 per cell]
Fe14 0.8409 0.8435 0.4034 [1 per cell]
Fe15 0.9105 0.0604 0.1222 [1 per cell]
Fe16 0.9102 0.4244 0.1705 [1 per cell]
Ni1 0.0178 0.0777 0.8571 [1 per cell]
Ni2 0.0815 0.4175 0.3768 [1 per cell]
Ni3 0.0818 0.6329 0.6178 [1 per cell]
Ni4 0.1100 0.3593 0.9292 [1 per cell]
Ni5 0.1196 0.6403 0.0778 [1 per cell]
Ni6 0.1950 0.9764 0.5979 [1 per cell]
Ni7 0.3083 0.6967 0.1924 [1 per cell]
Ni8 0.3496 0.0789 0.1904 [1 per cell]
Ni9 0.4147 0.6329 0.9510 [1 per cell]
Ni10 0.4172 0.4172 0.7098 [1 per cell]
Ni11 0.4431 0.3594 0.2626 [1 per cell]
Ni12 0.4541 0.6394 0.4109 [1 per cell]
Ni13 0.5285 0.9762 0.9313 [1 per cell]
Ni14 0.6422 0.6964 0.5260 [1 per cell]
Ni15 0.6843 0.0779 0.5237 [1 per cell]
Ni16 0.7513 0.4172 0.0432 [1 per cell]
Ni17 0.7764 0.3594 0.5959 [1 per cell]
Ni18 0.7866 0.6406 0.7442 [1 per cell]
Ni19 0.8623 0.9777 0.2645 [1 per cell]
Ni20 0.9749 0.6959 0.8593 [1 per cell]
P1 0.1030 0.7853 0.5073 [1 per cell]
P2 0.1276 0.3679 0.8077 [1 per cell]
P3 0.2120 0.6903 0.3135 [1 per cell]
P4 0.3067 0.2699 0.6137 [1 per cell]
P5 0.4360 0.7851 0.8405 [1 per cell]
P6 0.4609 0.3668 0.1409 [1 per cell]
P7 0.5422 0.6922 0.6474 [1 per cell]
P8 0.6402 0.2700 0.9469 [1 per cell]
P9 0.7686 0.7865 0.1743 [1 per cell]
P10 0.7933 0.3676 0.4747 [1 per cell]
P11 0.8756 0.6922 0.9809 [1 per cell]
P12 0.9744 0.2696 0.2805 [1 per cell]

***

No. 11
Structure and computed powder diffraction line list of Fe2NiP (a structure optimized by DFT (PBE); CuKα).

Main lines, low angle first (2θ = 10–80°):
2θ 36.4, I = 19, hkl 3 0 1
2θ 41.8, I = 100, hkl 2 3 1
2θ 42.8, I = 28, hkl 3 3 0
2θ 43.7, I = 52, hkl 1 1 2
2θ 45.3, I = 36, hkl 2 4 0
2θ 46.1, I = 14, hkl 2 0 2
2θ 46.7, I = 92, hkl 4 1 1
2θ 50.7, I = 22, hkl 2 2 2
2θ 52.1, I = 22, hkl 5 1 0
2θ 52.8, I = 31, hkl 1 3 2

Structural model:
abc: 8.9543 8.9543 4.3832
angles: 90.00 90.00 90.00
Space group I-4 (No. 82)
Asymmetric unit:
Fe1 0.0316 0.3613 0.0178 [8 per cell]
Fe2 0.0786 0.8928 0.2303 [8 per cell]
Ni1 0.1717 0.7810 0.7504 [8 per cell]
P1 0.0462 0.2922 0.5132 [8 per cell]

***

No. 12
Structure and computed powder diffraction line list of Fe2NiP (a structure optimized by DFT (PBE); CuKα).

Main lines, low angle first (2θ = 10–80°):
2θ 36.1, I = 21, hkl 3 0 1
2θ 41.5, I = 100, hkl 3 2 1
2θ 42.5, I = 28, hkl 3 3 0
2θ 43.3, I = 58, hkl 1 1 2
2θ 45.0, I = 38, hkl 4 2 0
2θ 45.7, I = 13, hkl 2 0 2
2θ 46.3, I = 93, hkl 1 4 1
2θ 50.2, I = 20, hkl 2 2 2
2θ 51.7, I = 21, hkl 1 5 0
2θ 52.4, I = 30, hkl 3 1 2

Structural model:
abc: 9.0144 9.0144 4.4238
angles: 90.00 90.00 90.00
Space group I-4 (No. 82)
Asymmetric unit:
Fe1 0.0783 0.1073 0.2711 [8 per cell]
Fe2 0.1699 0.2182 0.7480 [8 per cell]
Ni1 0.0327 0.6362 0.4789 [8 per cell]
P1 0.0464 0.7099 0.9826 [8 per cell]

***

No. 13
Structure and computed powder diffraction line list of FeNiP (a structure optimized by DFT (PBE); CuKα).

Main lines, low angle first (2θ = 10–80°):
2θ 31.0, I = 5, hkl 1 1 0
2θ 41.0, I = 100, hkl 1 1 1
2θ 45.0, I = 54, hkl 2 0 1
2θ 48.2, I = 40, hkl 2 1 0
2θ 53.6, I = 22, hkl 0 0 2
2θ 55.2, I = 20, hkl 3 0 0
2θ 55.6, I = 15, hkl 2 1 1
2θ 67.6, I = 5, hkl 3 1 0
2θ 73.8, I = 9, hkl 3 1 1
2θ 75.0, I = 19, hkl 2 1 2

Structural model:
abc: 5.7664 5.7664 3.4181
angles: 90.00 90.00 120.00
Space group P-62m (No. 189)
Asymmetric unit:
Fe1 0.0000 0.5986 0.0000 [3 per cell]
Ni1 0.0000 0.2571 0.5000 [3 per cell]
P1 0.0000 0.0000 0.0000 [1 per cell]
P2 0.3333 0.6667 0.5000 [2 per cell]